# Hf6HgIr
Simulated XRD peak list, Cu Kα. Input: a DFT-relaxed cell (PBE, Alexandria).
Peak positions follow from Bragg's law for the DFT cell and can differ from measured ones.

Most intense lines, 2θ = 5–70°, in order of rising 2θ:
- hkl 0 1 2, d = 3.179 Å, 2θ 28.07, I = 49
- hkl 2 1 1, d = 2.857 Å, 2θ 31.31, I = 29
- hkl 2 0 2, d = 2.650 Å, 2θ 33.82, I = 18
- hkl 2 2 0, d = 2.399 Å, 2θ 37.50, I = 100
- hkl 1 2 2, d = 2.320 Å, 2θ 38.82, I = 74
- hkl 3 1 2, d = 1.915 Å, 2θ 47.48, I = 15
- hkl 2 2 3, d = 1.658 Å, 2θ 55.42, I = 17
- hkl 0 2 4, d = 1.590 Å, 2θ 58.02, I = 13
- hkl 5 0 2, d = 1.496 Å, 2θ 62.02, I = 17
- hkl 6 0 0, d = 1.385 Å, 2θ 67.66, I = 11

```
data_Hf6HgIr
_cell_length_a 9.5942
_cell_length_b 9.5942
_cell_length_c 6.8826
_cell_angle_alpha 90.00
_cell_angle_beta 90.00
_cell_angle_gamma 120.00
_symmetry_space_group_name_H-M 'R -3 m'
_symmetry_Int_Tables_number 166
_symmetry_space_group_name_Hall '-R 3 2"'
loop_
_atom_site_label
_atom_site_type_symbol
_atom_site_fract_x
_atom_site_fract_y
_atom_site_fract_z
_atom_site_occupancy
Hf1 Hf 0.0353 0.5177 0.2921 1
Hg1 Hg 0.0000 0.0000 0.0000 1
Ir1 Ir 0.0000 0.0000 0.5000 1
```



# HfNbHg2Ir
Simulated XRD peak list, Cu Kα. Input: a DFT-relaxed cell (PBE, Alexandria).
Peak positions follow from Bragg's law for the DFT cell and can differ from measured ones.

Most intense lines, 2θ = 5–70°, in order of rising 2θ:
- hkl 0 0 1, d = 4.805 Å, 2θ 18.46, I = 32
- hkl 1 0 1, d = 3.495 Å, 2θ 25.49, I = 44
- hkl 1 1 1, d = 2.881 Å, 2θ 31.04, I = 88
- hkl 2 0 0, d = 2.546 Å, 2θ 35.25, I = 100
- hkl 0 0 2, d = 2.403 Å, 2θ 37.43, I = 43
- hkl 2 1 1, d = 2.058 Å, 2θ 44.00, I = 21
- hkl 2 2 0, d = 1.800 Å, 2θ 50.71, I = 36
- hkl 2 0 2, d = 1.747 Å, 2θ 52.36, I = 66
- hkl 3 1 1, d = 1.527 Å, 2θ 60.65, I = 31
- hkl 2 2 2, d = 1.441 Å, 2θ 64.70, I = 35

```
data_HfNbHg2Ir
_cell_length_a 5.0917
_cell_length_b 5.0917
_cell_length_c 4.8052
_cell_angle_alpha 90.00
_cell_angle_beta 90.00
_cell_angle_gamma 90.00
_symmetry_space_group_name_H-M 'P 4/m m m'
_symmetry_Int_Tables_number 123
_symmetry_space_group_name_Hall '-P 4 2'
loop_
_atom_site_label
_atom_site_type_symbol
_atom_site_fract_x
_atom_site_fract_y
_atom_site_fract_z
_atom_site_occupancy
Hf1 Hf 0.0000 0.0000 0.0000 1
Nb1 Nb 0.5000 0.5000 0.0000 1
Hg1 Hg 0.0000 0.5000 0.5000 1
Ir1 Ir 0.5000 0.5000 0.5000 1
```